The following is a calculated powder diffraction line list of Th5Tl2Tc. It was derived from a structure optimized by DFT (PBE), using Cu Ka.
Intensities are scaled so that the largest is 100.

Crystal structure
```
data_Th5Tl2Tc
_chemical_formula_sum 'Th10 Tl4 Tc2'
_symmetry_space_group_name_H-M 'P b a m'
_symmetry_Int_Tables_number 55
_cell_length_a 8.157
_cell_length_b 12.395
_cell_length_c 4.745
_cell_angle_alpha 90.00
_cell_angle_beta 90.00
_cell_angle_gamma 90.00
loop_
_symmetry_equiv_pos_as_xyz
'x,y,z'
'-x,-y,-z'
'-x,-y,z'
'x,y,-z'
'x+1/2,-y+1/2,-z'
'-x+1/2,y+1/2,z'
'-x+1/2,y+1/2,-z'
'x+1/2,-y+1/2,z'
loop_
_atom_site_label
_atom_site_type_symbol
_atom_site_fract_x
_atom_site_fract_y
_atom_site_fract_z
_atom_site_occupancy
Th1 Th 0.000 0.000 0.000 1
Th2 Th 0.135 0.296 0.000 1
Th3 Th 0.189 0.565 0.500 1
Tl1 Tl 0.084 0.827 0.500 1
Tc1 Tc 0.000 0.500 0.000 1
```

Peak list (12 most intense, 2θ = 5–70°, most intense first)
(2 1 1), 29.77 deg, I = 100
(1 3 1), 30.73 deg, I = 88
(2 2 1), 32.35 deg, I = 56
(1 4 0), 30.87 deg, I = 51
(0 0 2), 37.92 deg, I = 48
(1 4 2), 49.66 deg, I = 38
(0 4 1), 34.57 deg, I = 21
(2 6 0), 49.43 deg, I = 20
(1 2 1), 26.05 deg, I = 19
(1 3 3), 64.02 deg, I = 18
(3 1 0), 33.75 deg, I = 18
(2 0 1), 28.85 deg, I = 16